# In4H6Rh7
Calculated PXRD pattern, copper Kα. Input: a cell relaxed with PBE.
Intensities are scaled so that the largest is 100.

Cell and atoms:
Lattice parameters (Å, degrees): 6.1662 8.2840 8.9145 90.00 90.00 90.00
Space group Immm (No. 71)
Unique sites:
In  0.2500  0.2500  0.2500 x8
H  0.0000  0.0000  0.1882 x4
H  0.0000  0.3935  0.0000 x4
H  0.1797  0.5000  0.5000 x4
Rh  0.0000  0.0000  0.0000 x2
Rh  0.0000  0.3216  0.5000 x4
Rh  0.0000  0.5000  0.2493 x4
Rh  0.2481  0.5000  0.0000 x4

Peak list (6 most intense, 2θ from 10° to 80°, low angle first)
- d 3.034, I 30
- d 2.749, I 39
- d 2.229, I 48
- d 2.194, I 33
- d 2.163, I 100
- d 2.071, I 41

# BC2
Calculated PXRD pattern, copper Kα. Input: a cell relaxed with PBE.
Intensities are scaled so that the largest is 100.

Cell and atoms:
Lattice parameters (Å, degrees): 2.5596 2.5596 13.3853 90.00 90.00 120.00
Space group P3m1 (No. 156)
Unique sites:
B  0.0000  0.0000  0.0000 x1
B  0.0000  0.0000  0.4769 x1
B  0.3333  0.6667  0.7543 x1
B  0.6667  0.3333  0.8329 x1
C  0.0000  0.0000  0.1210 x1
C  0.0000  0.0000  0.5987 x1
C  0.3333  0.6667  0.1582 x1
C  0.3333  0.6667  0.2752 x1
C  0.3333  0.6667  0.6360 x1
C  0.6667  0.3333  0.3139 x1
C  0.6667  0.3333  0.4274 x1
C  0.6667  0.3333  0.9478 x1

Peak list (6 most intense, 2θ from 10° to 80°, low angle first)
- d 6.693, I 4
- d 2.231, I 26
- d 2.104, I 100
- d 1.335, I 20
- d 1.280, I 25
- d 1.235, I 6